Diffraction record for K2AuSe2. The PXRD pattern is computed, not measured: it uses a crystal structure in Alexandria, relaxed with PBE and Cu Kα, 1.54184 Å.
No peak broadening, texture or thermal motion is included.

Peak list (10 most intense, 15° ≤ 2θ ≤ 90°, in order of rising 2θ)
2θ (°)  I/Imax  hkl
17.1  100  0 2 0
27.3  36  1 1 1
28.4  71  1 3 0
31.2  38  1 2 1
33.2  88  2 0 1
36.8  70  1 3 1
37.6  67  2 2 1
43.9  49  3 1 1
47.0  23  0 0 2
58.4  21  0 6 1

Cell and atoms:
```
data_K2AuSe2
_symmetry_space_group_name_H-M 'P 1'
_symmetry_Int_Tables_number 1
_cell_length_a 7.514
_cell_length_b 10.382
_cell_length_c 3.870
_cell_angle_alpha 90.00
_cell_angle_beta 90.00
_cell_angle_gamma 90.00
loop_
_symmetry_equiv_pos_as_xyz
'x,y,z'
loop_
_atom_site_label
_atom_site_type_symbol
_atom_site_fract_x
_atom_site_fract_y
_atom_site_fract_z
_atom_site_occupancy
K1 K 0.092 0.169 0.000 1
K2 K 0.408 0.669 0.000 1
K3 K 0.592 0.331 0.000 1
K4 K 0.908 0.831 0.000 1
Au1 Au 0.000 0.500 0.000 1
Au2 Au 0.500 0.000 0.000 1
Se1 Se 0.216 0.429 0.500 1
Se2 Se 0.284 0.929 0.500 1
Se3 Se 0.716 0.071 0.500 1
Se4 Se 0.784 0.571 0.500 1
```